Na3PbI6: theoretical powder X-ray diffraction pattern (copper Kα), based on a structure optimized by DFT (GGA-PBE).

Top 10 peaks for 10° ≤ 2θ ≤ 90°, sorted by position:
| two_theta | d [Å] | I_rel |
| --- | --- | --- |
| 12.83 | 6.901 | 45 |
| 23.73 | 3.750 | 98 |
| 24.92 | 3.573 | 61 |
| 25.34 | 3.515 | 51 |
| 25.51 | 3.492 | 100 |
| 26.40 | 3.376 | 64 |
| 28.70 | 3.110 | 46 |
| 32.20 | 2.780 | 43 |
| 36.52 | 2.460 | 49 |
| 38.32 | 2.349 | 98 |

Structural model:
Cell: 12.800 4.696 14.208 Å, 90.00 103.75 90.00°
Space group P2_1/m (No. 11)
Symmetry-distinct sites (fractional):
Na 0.014 0.250 0.195 (multiplicity 2)
Na 0.361 0.250 0.977 (multiplicity 2)
Na 0.439 0.750 0.336 (multiplicity 2)
Pb 0.189 0.250 0.484 (multiplicity 2)
I 0.021 0.750 0.381 (multiplicity 2)
I 0.081 0.250 0.956 (multiplicity 2)
I 0.232 0.750 0.830 (multiplicity 2)
I 0.261 0.250 0.293 (multiplicity 2)
I 0.373 0.750 0.559 (multiplicity 2)
I 0.447 0.750 0.124 (multiplicity 2)

***

NaPb2I6: theoretical powder X-ray diffraction pattern (copper Kα), based on a structure optimized by DFT (GGA-PBE).

Top 10 peaks for 10° ≤ 2θ ≤ 90°, sorted by position:
| two_theta | d [Å] | I_rel |
| --- | --- | --- |
| 13.28 | 6.669 | 30 |
| 16.69 | 5.312 | 70 |
| 24.92 | 3.572 | 100 |
| 26.53 | 3.360 | 34 |
| 32.47 | 2.758 | 86 |
| 33.75 | 2.656 | 41 |
| 37.26 | 2.414 | 27 |
| 40.59 | 2.223 | 66 |
| 51.14 | 1.786 | 25 |
| 70.23 | 1.340 | 25 |

Structural model:
Cell: 7.513 7.513 14.481 Å, 90.00 90.00 90.00°
Space group P4_2/mnm (No. 136)
Symmetry-distinct sites (fractional):
Na 0.000 0.000 0.000 (multiplicity 2)
Pb 0.000 0.000 0.334 (multiplicity 4)
I 0.197 0.197 0.500 (multiplicity 4)
I 0.199 0.199 0.169 (multiplicity 8)

***

NaPm2I6: theoretical powder X-ray diffraction pattern (copper Kα), based on a structure optimized by DFT (GGA-PBE).

Top 10 peaks for 10° ≤ 2θ ≤ 90°, sorted by position:
| two_theta | d [Å] | I_rel |
| --- | --- | --- |
| 11.67 | 7.581 | 18 |
| 17.69 | 5.014 | 15 |
| 25.91 | 3.439 | 100 |
| 33.13 | 2.704 | 52 |
| 40.49 | 2.228 | 35 |
| 42.77 | 2.114 | 27 |
| 48.69 | 1.870 | 17 |
| 53.27 | 1.720 | 13 |
| 64.56 | 1.444 | 17 |
| 65.12 | 1.432 | 14 |

Structural model:
Cell: 7.7184 7.7184 7.5808 Å, 90.00 90.00 120.00°
Space group P-31m (No. 162)
Symmetry-distinct sites (fractional):
Na 0.0000 0.0000 0.0000 (multiplicity 1)
Pm 0.3333 0.6667 0.5000 (multiplicity 2)
I 0.0000 0.3436 0.7456 (multiplicity 6)

***

NaPmI4: theoretical powder X-ray diffraction pattern (copper Kα), based on a structure optimized by DFT (GGA-PBE).

Top 10 peaks for 10° ≤ 2θ ≤ 90°, sorted by position:
| two_theta | d [Å] | I_rel |
| --- | --- | --- |
| 10.96 | 8.073 | 28 |
| 11.56 | 7.656 | 46 |
| 24.58 | 3.622 | 44 |
| 25.22 | 3.532 | 36 |
| 25.54 | 3.488 | 100 |
| 31.66 | 2.826 | 24 |
| 32.83 | 2.728 | 46 |
| 38.92 | 2.314 | 38 |
| 39.79 | 2.266 | 20 |
| 41.82 | 2.160 | 33 |

Structural model:
Cell: 7.660 4.531 8.078 Å, 90.00 91.94 90.00°
Space group P2/m (No. 10)
Symmetry-distinct sites (fractional):
Na 0.000 0.000 0.000 (multiplicity 1)
Pm 0.000 0.500 0.500 (multiplicity 1)
I 0.226 0.500 0.192 (multiplicity 2)
I 0.238 0.000 0.659 (multiplicity 2)

***

NaPrI4: theoretical powder X-ray diffraction pattern (copper Kα), based on a structure optimized by DFT (GGA-PBE).

Top 10 peaks for 10° ≤ 2θ ≤ 90°, sorted by position:
| two_theta | d [Å] | I_rel |
| --- | --- | --- |
| 10.94 | 8.086 | 23 |
| 11.61 | 7.622 | 41 |
| 24.33 | 3.658 | 43 |
| 24.81 | 3.588 | 27 |
| 25.40 | 3.507 | 100 |
| 31.34 | 2.854 | 24 |
| 32.88 | 2.724 | 33 |
| 38.69 | 2.327 | 40 |
| 39.05 | 2.307 | 20 |
| 41.55 | 2.173 | 32 |

Structural model:
Cell: 7.634 4.614 8.099 Å, 90.00 93.22 90.00°
Space group P2/m (No. 10)
Symmetry-distinct sites (fractional):
Na 0.000 0.000 0.000 (multiplicity 1)
Pr 0.000 0.500 0.500 (multiplicity 1)
I 0.225 0.500 0.191 (multiplicity 2)
I 0.242 0.000 0.664 (multiplicity 2)

***

Na4Pr2I9: theoretical powder X-ray diffraction pattern (copper Kα), based on a structure optimized by DFT (GGA-PBE).

Top 10 peaks for 10° ≤ 2θ ≤ 90°, sorted by position:
| two_theta | d [Å] | I_rel |
| --- | --- | --- |
| 12.54 | 7.059 | 17 |
| 25.07 | 3.552 | 100 |
| 33.10 | 2.707 | 45 |
| 38.25 | 2.353 | 38 |
| 43.58 | 2.077 | 24 |
| 46.29 | 1.961 | 19 |
| 51.46 | 1.776 | 12 |
| 61.55 | 1.507 | 14 |
| 65.00 | 1.435 | 15 |
| 65.90 | 1.417 | 11 |

Structural model:
Cell: 8.150 8.151 21.724 Å, 89.98 90.00 60.00°
Space group P-1 (No. 2)
Symmetry-distinct sites (fractional):
Na 0.166 0.166 0.329 (multiplicity 2)
Na 0.166 0.167 0.015 (multiplicity 2)
Na 0.166 0.167 0.515 (multiplicity 2)
Na 0.167 0.167 0.829 (multiplicity 2)
Pr 0.500 0.500 0.162 (multiplicity 2)
Pr 0.500 0.500 0.338 (multiplicity 2)
I 0.157 0.522 0.585 (multiplicity 2)
I 0.157 0.821 0.085 (multiplicity 2)
I 0.179 0.479 0.915 (multiplicity 2)
I 0.179 0.500 0.250 (multiplicity 2)
I 0.179 0.842 0.415 (multiplicity 2)
I 0.180 0.821 0.750 (multiplicity 2)
I 0.479 0.178 0.415 (multiplicity 2)
I 0.479 0.843 0.915 (multiplicity 2)
I 0.500 0.180 0.750 (multiplicity 2)

***

NaPrTeI: theoretical powder X-ray diffraction pattern (copper Kα), based on a structure optimized by DFT (GGA-PBE).

Top 10 peaks for 10° ≤ 2θ ≤ 90°, sorted by position:
| two_theta | d [Å] | I_rel |
| --- | --- | --- |
| 10.99 | 8.048 | 22 |
| 23.51 | 3.784 | 12 |
| 27.57 | 3.235 | 100 |
| 37.95 | 2.371 | 41 |
| 40.79 | 2.212 | 35 |
| 49.95 | 1.826 | 19 |
| 56.93 | 1.617 | 12 |
| 62.39 | 1.488 | 18 |
| 66.38 | 1.408 | 16 |
| 72.38 | 1.306 | 12 |

Structural model:
Cell: 4.4242 4.4242 24.1444 Å, 90.00 90.00 120.00°
Space group R3m (No. 160, hexagonal axes)
Symmetry-distinct sites (fractional):
Na 0.0000 0.0000 0.0000 (multiplicity 3)
Pr 0.0000 0.0000 0.4834 (multiplicity 3)
Te 0.0000 0.0000 0.7389 (multiplicity 3)
I 0.0000 0.0000 0.2387 (multiplicity 3)

***

NaPtI: theoretical powder X-ray diffraction pattern (copper Kα), based on a structure optimized by DFT (GGA-PBE).

Top 10 peaks for 10° ≤ 2θ ≤ 90°, sorted by position:
| two_theta | d [Å] | I_rel |
| --- | --- | --- |
| 13.38 | 6.617 | 66 |
| 18.67 | 4.752 | 100 |
| 29.96 | 2.983 | 41 |
| 35.54 | 2.526 | 69 |
| 37.87 | 2.376 | 23 |
| 38.44 | 2.342 | 52 |
| 47.22 | 1.925 | 14 |
| 47.40 | 1.918 | 14 |
| 48.94 | 1.861 | 13 |
| 50.44 | 1.809 | 32 |

Structural model:
Cell: 6.605 3.912 6.636 Å, 90.00 91.75 90.00°
Space group Pm (No. 6)
Symmetry-distinct sites (fractional):
Na 0.000 0.000 0.000 (multiplicity 1)
Na 0.482 0.000 0.510 (multiplicity 1)
Pt 0.714 0.500 0.227 (multiplicity 1)
Pt 0.906 0.000 0.420 (multiplicity 1)
I 0.107 0.500 0.623 (multiplicity 1)
I 0.509 0.000 0.022 (multiplicity 1)

***

Na2PtI5: theoretical powder X-ray diffraction pattern (copper Kα), based on a structure optimized by DFT (GGA-PBE).

Top 10 peaks for 10° ≤ 2θ ≤ 90°, sorted by position:
| two_theta | d [Å] | I_rel |
| --- | --- | --- |
| 12.76 | 6.937 | 48 |
| 13.49 | 6.565 | 61 |
| 16.67 | 5.317 | 29 |
| 17.05 | 5.200 | 26 |
| 26.69 | 3.340 | 51 |
| 26.87 | 3.318 | 100 |
| 34.21 | 2.621 | 27 |
| 34.46 | 2.603 | 64 |
| 41.74 | 2.164 | 19 |
| 41.93 | 2.154 | 33 |

Structural model:
Cell: 15.165 7.452 11.368 Å, 90.00 113.82 90.00°
Space group Cc (No. 9)
Symmetry-distinct sites (fractional):
Na 0.000 0.001 0.000 (multiplicity 4)
Na 0.234 0.001 0.970 (multiplicity 4)
Pt 0.118 0.500 0.235 (multiplicity 4)
I 0.025 0.202 0.756 (multiplicity 4)
I 0.118 0.372 0.485 (multiplicity 4)
I 0.210 0.202 0.214 (multiplicity 4)
I 0.289 0.335 0.850 (multiplicity 4)
I 0.447 0.165 0.620 (multiplicity 4)

***

Na3Pu2I8: theoretical powder X-ray diffraction pattern (copper Kα), based on a structure optimized by DFT (GGA-PBE).

Top 10 peaks for 10° ≤ 2θ ≤ 90°, sorted by position:
| two_theta | d [Å] | I_rel |
| --- | --- | --- |
| 15.28 | 5.798 | 52 |
| 17.87 | 4.963 | 39 |
| 20.00 | 4.439 | 36 |
| 23.41 | 3.800 | 30 |
| 27.64 | 3.227 | 32 |
| 29.82 | 2.996 | 100 |
| 35.02 | 2.562 | 34 |
| 35.31 | 2.542 | 52 |
| 40.41 | 2.232 | 49 |
| 40.64 | 2.220 | 31 |

Structural model:
Cell: 16.698 8.880 7.747 Å, 90.00 108.42 90.00°
Space group C2/m (No. 12)
Symmetry-distinct sites (fractional):
Na 0.000 0.000 0.000 (multiplicity 2)
Na 0.000 0.260 0.500 (multiplicity 4)
Pu 0.245 0.500 0.173 (multiplicity 4)
I 0.113 0.500 0.379 (multiplicity 4)
I 0.120 0.000 0.434 (multiplicity 4)
I 0.127 0.242 0.917 (multiplicity 8)

***

NaPu2I6: theoretical powder X-ray diffraction pattern (copper Kα), based on a structure optimized by DFT (GGA-PBE).

Top 10 peaks for 10° ≤ 2θ ≤ 90°, sorted by position:
| two_theta | d [Å] | I_rel |
| --- | --- | --- |
| 13.28 | 6.669 | 43 |
| 16.56 | 5.353 | 87 |
| 25.23 | 3.530 | 100 |
| 26.32 | 3.386 | 33 |
| 32.60 | 2.747 | 100 |
| 33.48 | 2.677 | 49 |
| 40.58 | 2.223 | 71 |
| 51.79 | 1.765 | 29 |
| 65.72 | 1.421 | 27 |
| 69.83 | 1.347 | 29 |

Structural model:
Cell: 7.571 7.571 14.090 Å, 90.00 90.00 90.00°
Space group P4_2/mnm (No. 136)
Symmetry-distinct sites (fractional):
Na 0.000 0.000 0.000 (multiplicity 2)
Pu 0.000 0.000 0.333 (multiplicity 4)
I 0.196 0.196 0.500 (multiplicity 4)
I 0.203 0.203 0.170 (multiplicity 8)

***

NaPu2I5: theoretical powder X-ray diffraction pattern (copper Kα), based on a structure optimized by DFT (GGA-PBE).

Top 10 peaks for 10° ≤ 2θ ≤ 90°, sorted by position:
| two_theta | d [Å] | I_rel |
| --- | --- | --- |
| 10.23 | 8.647 | 64 |
| 11.86 | 7.460 | 100 |
| 24.41 | 3.646 | 26 |
| 24.55 | 3.627 | 26 |
| 28.50 | 3.132 | 38 |
| 28.62 | 3.119 | 38 |
| 31.00 | 2.884 | 48 |
| 31.95 | 2.801 | 35 |
| 35.44 | 2.533 | 39 |
| 45.13 | 2.009 | 21 |

Structural model:
Cell: 5.603 17.294 7.954 Å, 90.00 110.30 90.00°
Space group C2/m (No. 12)
Symmetry-distinct sites (fractional):
Na 0.000 0.000 0.000 (multiplicity 2)
Pu 0.000 0.313 0.000 (multiplicity 4)
I 0.000 0.500 0.000 (multiplicity 2)
I 0.128 0.163 0.258 (multiplicity 8)

***

NaPuI4: theoretical powder X-ray diffraction pattern (copper Kα), based on a structure optimized by DFT (GGA-PBE).

Top 10 peaks for 10° ≤ 2θ ≤ 90°, sorted by position:
| two_theta | d [Å] | I_rel |
| --- | --- | --- |
| 11.16 | 7.927 | 42 |
| 11.79 | 7.503 | 60 |
| 14.90 | 5.945 | 20 |
| 23.68 | 3.758 | 30 |
| 27.07 | 3.294 | 50 |
| 27.57 | 3.235 | 100 |
| 39.03 | 2.308 | 74 |
| 39.39 | 2.288 | 38 |
| 48.42 | 1.880 | 30 |
| 71.15 | 1.325 | 18 |

Structural model:
Cell: 15.202 4.576 8.031 Å, 90.00 99.22 90.00°
Space group C2/m (No. 12)
Symmetry-distinct sites (fractional):
Na 0.000 0.000 0.000 (multiplicity 2)
Pu 0.000 0.500 0.500 (multiplicity 2)
I 0.114 0.500 0.851 (multiplicity 4)
I 0.119 0.000 0.387 (multiplicity 4)